Structure and computed powder XRD pattern of Ba3Ga4Cu2 (a crystal structure in Alexandria, relaxed with GGA-PBE; CuKα).

Most intense lines, 10 to 90 degrees two-theta, in order of falling intensity:
29.4°, intensity 100.0, (1 0 6)
40.9°, intensity 38.5, (1 1 0)
55.5°, intensity 27.1, (1 1 12)
51.1°, intensity 20.9, (2 0 6)
67.4°, intensity 18.0, (2 1 6)
35.9°, intensity 16.3, (0 0 12)
60.6°, intensity 9.4, (0 1 18)
23.3°, intensity 7.9, (1 0 0)
85.5°, intensity 7.8, (3 0 12)
89.8°, intensity 6.5, (1 2 18)

Atomic structure:
Cell: 4.4161 4.4161 29.9836 Å, 90.00 90.00 120.00°
Space group P3m1 (No. 156)
One atom of each set of equivalent atoms:
Ba1 0.0000 0.0000 0.0000 (multiplicity 1)
Ba2 0.0000 0.0000 0.1509 (multiplicity 1)
Ba3 0.0000 0.0000 0.3234 (multiplicity 1)
Ba4 0.0000 0.0000 0.4880 (multiplicity 1)
Ba5 0.0000 0.0000 0.6623 (multiplicity 1)
Ba6 0.0000 0.0000 0.8274 (multiplicity 1)
Ga1 0.3333 0.6667 0.2365 (multiplicity 1)
Ga2 0.3333 0.6667 0.4054 (multiplicity 1)
Ga3 0.3333 0.6667 0.5751 (multiplicity 1)
Ga4 0.3333 0.6667 0.7452 (multiplicity 1)
Ga5 0.3333 0.6667 0.9143 (multiplicity 1)
Ga6 0.6667 0.3333 0.2353 (multiplicity 1)
Ga7 0.6667 0.3333 0.5751 (multiplicity 1)
Ga8 0.6667 0.3333 0.9157 (multiplicity 1)
Cu1 0.3333 0.6667 0.0754 (multiplicity 1)
Cu2 0.6667 0.3333 0.0754 (multiplicity 1)
Cu3 0.6667 0.3333 0.4056 (multiplicity 1)
Cu4 0.6667 0.3333 0.7449 (multiplicity 1)


Structure and computed powder XRD pattern of Cu2GeTe4Pb (a crystal structure in Alexandria, relaxed with GGA-PBE; CuKα).

Most intense lines, 10 to 90 degrees two-theta, in order of falling intensity:
24.4°, intensity 100.0, (2 0 2)
41.1°, intensity 42.8, (2 2 4)
46.5°, intensity 31.3, (2 4 2)
38.9°, intensity 27.3, (4 0 0)
31.5°, intensity 15.5, (1 3 1)
72.0°, intensity 11.8, (6 2 4)
50.2°, intensity 10.5, (0 2 6)
26.4°, intensity 10.5, (1 1 3)
31.2°, intensity 10.2, (2 2 2)
36.0°, intensity 7.9, (0 2 4)

Atomic structure:
Cell: 9.251 9.263 11.847 Å, 90.00 90.00 90.00°
Space group Fmm2 (No. 42)
One atom of each set of equivalent atoms:
Cu1 0.250 0.250 0.000 (multiplicity 8)
Ge1 0.000 0.000 0.250 (multiplicity 4)
Te1 0.000 0.218 0.102 (multiplicity 8)
Te2 0.218 0.000 0.398 (multiplicity 8)
Pb1 0.000 0.000 0.750 (multiplicity 4)


Structure and computed powder XRD pattern of TbCePu2Bi4 (a crystal structure in Alexandria, relaxed with GGA-PBE; CuKα).

Most intense lines, 10 to 90 degrees two-theta, in order of falling intensity:
31.9°, intensity 100.0, (1 1 -2)
32.1°, intensity 98.7, (1 1 2)
31.5°, intensity 51.9, (0 2 0)
35.8°, intensity 37.7, (2 0 0)
48.4°, intensity 32.1, (2 2 0)
54.4°, intensity 22.8, (0 2 4)
43.2°, intensity 22.1, (0 0 4)
56.3°, intensity 20.8, (1 3 -2)
56.4°, intensity 20.5, (1 3 2)
61.9°, intensity 15.7, (3 1 -2)

Atomic structure:
Cell: 5.010 5.686 8.379 Å, 90.00 90.37 90.00°
Space group P2/m (No. 10)
One atom of each set of equivalent atoms:
Tb1 0.000 0.000 0.000 (multiplicity 1)
Ce1 0.500 0.500 0.500 (multiplicity 1)
Pu1 0.000 0.000 0.500 (multiplicity 1)
Pu2 0.500 0.500 0.000 (multiplicity 1)
Bi1 0.000 0.500 0.247 (multiplicity 2)
Bi2 0.500 0.000 0.247 (multiplicity 2)


Structure and computed powder XRD pattern of Cd4AgAu4 (a crystal structure in Alexandria, relaxed with GGA-PBE; CuKα).

Most intense lines, 10 to 90 degrees two-theta, in order of falling intensity:
38.4°, intensity 100.0, (1 1 4)
39.9°, intensity 40.7, (1 2 3)
26.9°, intensity 39.5, (0 2 0)
37.7°, intensity 36.1, (2 1 1)
15.5°, intensity 32.9, (0 1 1)
41.6°, intensity 30.7, (0 3 1)
34.2°, intensity 26.9, (2 0 0)
44.0°, intensity 23.6, (2 2 0)
26.7°, intensity 23.3, (1 1 2)
63.7°, intensity 14.1, (1 4 3)

Atomic structure:
Cell: 5.243 6.640 11.409 Å, 90.00 90.00 90.00°
Space group I222 (No. 23)
One atom of each set of equivalent atoms:
Cd1 0.198 0.222 0.179 (multiplicity 8)
Ag1 0.000 0.500 0.000 (multiplicity 2)
Au1 0.201 0.323 0.418 (multiplicity 8)


Structure and computed powder XRD pattern of ReMo (a crystal structure in Alexandria, relaxed with GGA-PBE; CuKα).

Most intense lines, 10 to 90 degrees two-theta, in order of falling intensity:
40.7°, intensity 100.0, (2 2 0)
74.0°, intensity 34.3, (4 2 2)
58.9°, intensity 16.8, (4 0 0)
88.1°, intensity 11.4, (4 4 0)
24.6°, intensity 11.0, (1 1 1)
48.1°, intensity 6.1, (3 1 1)
64.8°, intensity 2.6, (3 3 1)
79.4°, intensity 2.0, (5 1 1)

Atomic structure:
Cell: 6.274 6.274 6.274 Å, 90.00 90.00 90.00°
Space group Fd-3m (No. 227, origin choice 2)
One atom of each set of equivalent atoms:
Re1 0.125 0.125 0.125 (multiplicity 8)
Mo1 0.125 0.125 0.625 (multiplicity 8)


Structure and computed powder XRD pattern of RbLaSiO4 (a crystal structure in Alexandria, relaxed with GGA-PBE; CuKα).

Most intense lines, 10 to 90 degrees two-theta, in order of falling intensity:
21.9°, intensity 100.0, (1 1 0)
11.9°, intensity 57.7, (0 0 1)
28.5°, intensity 43.2, (0 1 2)
31.0°, intensity 43.2, (0 2 0)
29.4°, intensity 40.7, (1 1 -2)
34.2°, intensity 35.0, (2 0 -2)
35.6°, intensity 30.4, (1 1 2)
44.6°, intensity 27.5, (2 2 0)
31.3°, intensity 23.7, (2 0 0)
37.6°, intensity 21.8, (2 1 -2)

Atomic structure:
Cell: 5.925 5.775 7.715 Å, 90.00 105.29 90.00°
Space group P2_1/m (No. 11)
One atom of each set of equivalent atoms:
Rb1 0.200 0.250 0.427 (multiplicity 2)
La1 0.270 0.250 0.949 (multiplicity 2)
Si1 0.262 0.750 0.165 (multiplicity 2)
O1 0.086 0.750 0.298 (multiplicity 2)
O2 0.092 0.750 0.956 (multiplicity 2)
O3 0.441 0.525 0.186 (multiplicity 4)


Structure and computed powder XRD pattern of AcPr9Er2 (a crystal structure in Alexandria, relaxed with GGA-PBE; CuKα).

Most intense lines, 10 to 90 degrees two-theta, in order of falling intensity:
29.6°, intensity 100.0, (1 1 3)
34.3°, intensity 50.7, (2 0 0)
49.2°, intensity 36.2, (2 2 0)
58.5°, intensity 29.2, (3 1 3)
79.9°, intensity 17.1, (3 3 3)
58.4°, intensity 13.7, (1 1 9)
61.3°, intensity 12.3, (2 2 6)
82.4°, intensity 10.9, (4 2 0)
82.3°, intensity 4.9, (2 0 12)
72.2°, intensity 3.9, (4 0 0)

Atomic structure:
Cell: 5.231 5.231 15.727 Å, 90.00 90.00 90.00°
Space group P4/mmm (No. 123)
One atom of each set of equivalent atoms:
Ac1 0.000 0.000 0.000 (multiplicity 1)
Pr1 0.000 0.500 0.174 (multiplicity 4)
Pr2 0.000 0.500 0.500 (multiplicity 2)
Pr3 0.500 0.500 0.000 (multiplicity 1)
Pr4 0.500 0.500 0.339 (multiplicity 2)
Er1 0.000 0.000 0.337 (multiplicity 2)


Structure and computed powder XRD pattern of YTh2Sb3 (a crystal structure in Alexandria, relaxed with GGA-PBE; CuKα).

Most intense lines, 10 to 90 degrees two-theta, in order of falling intensity:
28.2°, intensity 100.0, (2 0 0)
40.3°, intensity 77.0, (2 3 2)
66.1°, intensity 35.7, (4 3 2)
49.9°, intensity 27.7, (2 6 0)
73.3°, intensity 26.4, (4 6 0)
58.4°, intensity 13.0, (4 0 0)
87.2°, intensity 7.2, (4 6 4)
24.4°, intensity 6.8, (1 0 2)
47.7°, intensity 3.9, (1 3 4)
11.9°, intensity 3.3, (0 1 1)

Atomic structure:
Cell: 6.326 13.406 8.951 Å, 90.00 90.00 90.00°
Space group P2_1/c (No. 14)
One atom of each set of equivalent atoms:
Y1 0.250 0.085 0.124 (multiplicity 4)
Th1 0.250 0.083 0.626 (multiplicity 4)
Th2 0.251 0.747 0.125 (multiplicity 4)
Sb1 0.249 0.250 0.375 (multiplicity 4)
Sb2 0.250 0.581 0.381 (multiplicity 4)
Sb3 0.250 0.581 0.868 (multiplicity 4)


Structure and computed powder XRD pattern of PaZnAgO4 (a crystal structure in Alexandria, relaxed with GGA-PBE; CuKα).

Most intense lines, 10 to 90 degrees two-theta, in order of falling intensity:
30.1°, intensity 100.0, (1 2 1)
17.5°, intensity 88.2, (1 0 1)
31.4°, intensity 50.3, (0 2 2)
56.4°, intensity 46.9, (2 2 4)
33.1°, intensity 41.0, (1 0 3)
38.3°, intensity 38.4, (2 2 0)
33.2°, intensity 31.8, (2 1 1)
35.4°, intensity 30.1, (2 0 2)
52.3°, intensity 24.1, (3 2 1)
49.7°, intensity 17.7, (0 4 0)

Atomic structure:
Cell: 6.124 7.338 9.062 Å, 90.00 90.00 90.00°
Space group Imma (No. 74)
One atom of each set of equivalent atoms:
Pa1 0.000 0.000 0.000 (multiplicity 4)
Zn1 0.000 0.250 0.360 (multiplicity 4)
Ag1 0.250 0.250 0.750 (multiplicity 4)
O1 0.000 0.033 0.227 (multiplicity 8)
O2 0.230 0.250 0.006 (multiplicity 8)


Structure and computed powder XRD pattern of Tb2PmHo (a crystal structure in Alexandria, relaxed with GGA-PBE; CuKα).

Most intense lines, 10 to 90 degrees two-theta, in order of falling intensity:
32.4°, intensity 100.0, (4 1 0)
31.4°, intensity 24.2, (0 2 0)
28.3°, intensity 23.8, (2 0 2)
60.3°, intensity 22.7, (6 2 2)
56.6°, intensity 20.7, (4 3 0)
50.1°, intensity 19.8, (6 0 2)
42.8°, intensity 15.6, (2 2 2)
60.9°, intensity 11.0, (4 1 4)
82.7°, intensity 9.3, (10 1 2)
86.8°, intensity 8.4, (6 4 2)

Atomic structure:
Cell: 12.606 5.698 7.295 Å, 90.00 90.00 90.00°
Space group Pnma (No. 62)
One atom of each set of equivalent atoms:
Tb1 0.083 0.250 0.001 (multiplicity 4)
Tb2 0.083 0.250 0.498 (multiplicity 4)
Pm1 0.167 0.750 0.750 (multiplicity 4)
Ho1 0.166 0.750 0.250 (multiplicity 4)


Structure and computed powder XRD pattern of Cs3Pm2I8 (a crystal structure in Alexandria, relaxed with GGA-PBE; CuKα).

Most intense lines, 10 to 90 degrees two-theta, in order of falling intensity:
29.0°, intensity 100.0, (0 0 3)
29.7°, intensity 87.0, (1 -3 0)
17.5°, intensity 73.2, (1 1 -1)
22.4°, intensity 70.4, (0 2 -2)
35.5°, intensity 62.2, (2 2 -2)
18.8°, intensity 61.2, (2 -1 0)
11.1°, intensity 56.3, (1 0 0)
30.7°, intensity 47.4, (-3 1 2)
27.7°, intensity 42.6, (2 -2 2)
15.0°, intensity 42.4, (-1 1 1)

Atomic structure:
Cell: 9.605 9.794 10.434 Å, 107.97 99.60 117.12°
Space group P-1 (No. 2)
One atom of each set of equivalent atoms:
Cs1 0.000 0.000 0.000 (multiplicity 1)
Cs2 0.254 0.430 0.632 (multiplicity 2)
Pm1 0.471 0.846 0.310 (multiplicity 2)
I1 0.174 0.008 0.691 (multiplicity 2)
I2 0.276 0.476 0.270 (multiplicity 2)
I3 0.294 0.731 0.990 (multiplicity 2)
I4 0.354 0.095 0.368 (multiplicity 2)


Structure and computed powder XRD pattern of LiCeSi2Ir2 (a crystal structure in Alexandria, relaxed with GGA-PBE; CuKα).

Most intense lines, 10 to 90 degrees two-theta, in order of falling intensity:
28.0°, intensity 100.0, (1 0 1)
36.7°, intensity 53.7, (0 1 2)
43.2°, intensity 46.9, (1 1 0)
60.9°, intensity 22.8, (1 1 3)
52.3°, intensity 18.3, (0 2 1)
70.1°, intensity 15.3, (2 1 1)
57.9°, intensity 14.4, (2 0 2)
74.9°, intensity 13.5, (1 2 2)
40.7°, intensity 12.4, (0 0 3)
48.1°, intensity 9.1, (1 0 3)

Atomic structure:
Cell: 4.1885 4.1885 6.6456 Å, 90.00 90.00 120.00°
Space group P-3m1 (No. 164)
One atom of each set of equivalent atoms:
Li1 0.0000 0.0000 0.0000 (multiplicity 1)
Ce1 0.0000 0.0000 0.5000 (multiplicity 1)
Si1 0.3333 0.6667 0.8234 (multiplicity 2)
Ir1 0.3333 0.6667 0.2049 (multiplicity 2)


Please write out number 11 again, unchanged.
Structure and computed powder XRD pattern of Cs3Pm2I8 (a crystal structure in Alexandria, relaxed with GGA-PBE; CuKα).

Most intense lines, 10 to 90 degrees two-theta, in order of falling intensity:
29.0°, intensity 100.0, (0 0 3)
29.7°, intensity 87.0, (1 -3 0)
17.5°, intensity 73.2, (1 1 -1)
22.4°, intensity 70.4, (0 2 -2)
35.5°, intensity 62.2, (2 2 -2)
18.8°, intensity 61.2, (2 -1 0)
11.1°, intensity 56.3, (1 0 0)
30.7°, intensity 47.4, (-3 1 2)
27.7°, intensity 42.6, (2 -2 2)
15.0°, intensity 42.4, (-1 1 1)

Atomic structure:
Cell: 9.605 9.794 10.434 Å, 107.97 99.60 117.12°
Space group P-1 (No. 2)
One atom of each set of equivalent atoms:
Cs1 0.000 0.000 0.000 (multiplicity 1)
Cs2 0.254 0.430 0.632 (multiplicity 2)
Pm1 0.471 0.846 0.310 (multiplicity 2)
I1 0.174 0.008 0.691 (multiplicity 2)
I2 0.276 0.476 0.270 (multiplicity 2)
I3 0.294 0.731 0.990 (multiplicity 2)
I4 0.354 0.095 0.368 (multiplicity 2)